Entry 1:
The following is a calculated powder diffractogram of Rb2Au3. It was derived from DFT lattice parameters and positions (PBE), using λ = 1.5418 Å (Cu Kα).

Structure:
```
data_Rb2Au3
_chemical_formula_sum 'Rb4 Au6'
_cell_length_a 5.046
_cell_length_b 5.594
_cell_length_c 10.808
_cell_angle_alpha 90.00
_cell_angle_beta 90.00
_cell_angle_gamma 90.00
_symmetry_space_group_name_H-M 'I m m m'
_symmetry_Int_Tables_number 71
_symmetry_space_group_name_Hall '-I 2 2'
loop_
_atom_site_label
_atom_site_fract_x
_atom_site_fract_y
_atom_site_fract_z
Rb1 0.000 0.000 0.196
Au1 0.000 0.254 0.500
Au2 0.000 0.500 0.000
```

Top 10 peaks for 2θ from 5° to 70°, low angle first:
5.404 Å, rel. 91.2, (0 0 2); 3.079 Å, rel. 55.1, (1 1 2); 3.029 Å, rel. 25.5, (0 1 3); 2.932 Å, rel. 24.7, (1 0 3); 2.702 Å, rel. 33.1, (0 0 4); 2.523 Å, rel. 40.5, (2 0 0); 2.386 Å, rel. 100.0, (1 2 1); 2.286 Å, rel. 22.2, (2 0 2); 2.024 Å, rel. 29.6, (1 2 3); 1.620 Å, rel. 42.1, (1 2 5)


Entry 2:
The following is a calculated powder diffractogram of MgCrInS4. It was derived from DFT lattice parameters and positions (PBE), using λ = 1.5418 Å (Cu Kα).

Structure:
```
data_MgCrInS4
_chemical_formula_sum 'Mg4 Cr4 In4 S16'
_cell_length_a 7.367
_cell_length_b 7.516
_cell_length_c 10.615
_cell_angle_alpha 90.00
_cell_angle_beta 90.00
_cell_angle_gamma 90.00
_symmetry_space_group_name_H-M 'I m m a'
_symmetry_Int_Tables_number 74
_symmetry_space_group_name_Hall '-I 2b 2'
loop_
_atom_site_label
_atom_site_fract_x
_atom_site_fract_y
_atom_site_fract_z
Mg1 0.000 0.250 0.126
Cr1 0.250 0.250 0.750
In1 0.000 0.000 0.500
S1 0.000 0.032 0.749
S2 0.243 0.250 0.521
```

Top 10 peaks for 2θ from 5° to 70°, low angle first:
6.134 Å, rel. 37.7, (0 1 1); 6.052 Å, rel. 100.0, (1 0 1); 3.194 Å, rel. 81.6, (1 2 1); 3.190 Å, rel. 39.5, (1 0 3); 2.654 Å, rel. 46.1, (0 0 4); 2.631 Å, rel. 92.2, (2 2 0); 2.018 Å, rel. 32.4, (3 2 1); 1.879 Å, rel. 20.4, (0 4 0); 1.868 Å, rel. 83.1, (2 2 4); 1.842 Å, rel. 21.5, (4 0 0)


Entry 3:
The following is a calculated powder diffractogram of HfCrGa2. It was derived from DFT lattice parameters and positions (PBE), using λ = 1.5418 Å (Cu Kα).

Structure:
```
data_HfCrGa2
_chemical_formula_sum 'Hf12 Cr12 Ga24'
_cell_length_a 9.992
_cell_length_b 8.542
_cell_length_c 9.091
_cell_angle_alpha 90.00
_cell_angle_beta 90.00
_cell_angle_gamma 90.00
_symmetry_space_group_name_H-M 'P n m a'
_symmetry_Int_Tables_number 62
loop_
_symmetry_equiv_pos_as_xyz
'x,y,z'
'-x,-y,-z'
'-x+1/2,-y,z+1/2'
'x+1/2,y,-z+1/2'
'x+1/2,-y+1/2,-z+1/2'
'-x+1/2,y+1/2,z+1/2'
'-x,y+1/2,-z'
'x,-y+1/2,z'
loop_
_atom_site_label
_atom_site_fract_x
_atom_site_fract_y
_atom_site_fract_z
Hf1 0.048 0.026 0.166
Hf2 0.180 0.750 0.664
Cr1 0.000 0.000 0.500
Cr2 0.243 0.000 0.425
Ga1 0.093 0.750 0.357
Ga2 0.103 0.250 0.385
Ga3 0.119 0.250 0.932
Ga4 0.129 0.750 0.988
Ga5 0.180 0.075 0.678
```

Top 10 peaks for 2θ from 5° to 70°, low angle first:
2.474 Å, rel. 18.8, (2 3 0); 2.409 Å, rel. 57.6, (4 0 1); 2.399 Å, rel. 100.0, (1 2 3); 2.387 Å, rel. 28.2, (2 3 1); 2.346 Å, rel. 22.5, (1 3 2); 2.274 Å, rel. 79.2, (3 2 2); 2.241 Å, rel. 56.2, (3 0 3); 2.216 Å, rel. 31.5, (1 0 4); 2.156 Å, rel. 34.1, (4 2 0); 2.135 Å, rel. 39.7, (0 4 0)